This entry pairs a crystal structure of SmTlHgS3 with its simulated powder diffraction line list. Radiation: Cu Kα (λ = 1.5418 Å). Structure: a crystal structure in OQMD, relaxed with PBE.
Intensities are scaled so that the largest is 100.

Structure:
Cell lengths 12.0833, 4.2179, 12.4107 Å; angles 90.00, 90.00, 90.00 degrees
Space group Pnma (No. 62)
Asymmetric unit:
Sm (0.0361, 0.2500, 0.1659)
Tl (0.1516, 0.2500, 0.5211)
Hg (0.2485, 0.7500, 0.3136)
S (0.0379, 0.7500, 0.3203)
S (0.0871, 0.2500, 0.9352)
S (0.2346, 0.7500, 0.6788)

Principal peaks in the range 5° ≤ 2θ ≤ 70°, low angle first:
hkl 1 0 3, 22.72°, I 28; hkl 3 0 1, 23.22°, I 37; hkl 2 1 0, 25.76°, I 33; hkl 2 1 1, 26.76°, I 54; hkl 2 1 2, 29.57°, I 29; hkl 1 1 3, 31.17°, I 100; hkl 4 0 2, 32.98°, I 38; hkl 0 2 0, 42.86°, I 38; hkl 0 0 6, 43.78°, I 49; hkl 5 1 5, 57.55°, I 28

---

This entry pairs a crystal structure of TaInCuSeS2 with its simulated powder diffraction line list. Radiation: Cu Kα (λ = 1.5418 Å). Structure: a crystal structure in OQMD, relaxed with PBE.
Intensities are scaled so that the largest is 100.

Structure:
Cell lengths 3.4818, 14.8895, 9.7456 Å; angles 90.00, 90.00, 90.00 degrees
Space group Cmcm (No. 63)
Asymmetric unit:
Ta (0.0000, 0.0000, 0.0000)
In (0.0000, 0.2463, 0.2500)
Cu (0.0000, 0.4561, 0.7500)
Se (0.0000, 0.0735, 0.7500)
S (0.0000, 0.3828, 0.5476)

Principal peaks in the range 5° ≤ 2θ ≤ 70°, low angle first:
hkl 0 2 0, 11.89°, I 100; hkl 0 2 2, 21.80°, I 61; hkl 0 4 0, 23.91°, I 37; hkl 1 3 1, 32.73°, I 82; hkl 1 3 2, 36.52°, I 56; hkl 0 0 4, 36.89°, I 47; hkl 0 6 2, 40.81°, I 42; hkl 1 3 3, 42.18°, I 25; hkl 1 5 2, 44.12°, I 40; hkl 2 0 0, 52.59°, I 27

---

This entry pairs a crystal structure of Zr2Tl3W4N3 with its simulated powder diffraction line list. Radiation: Cu Kα (λ = 1.5418 Å). Structure: a crystal structure in OQMD, relaxed with PBE.
Intensities are scaled so that the largest is 100.

Structure:
Cell lengths 9.8460, 5.6685, 14.2000 Å; angles 90.00, 102.77, 90.00 degrees
Space group C2/c (No. 15)
Asymmetric unit:
Zr (0.0608, 0.0873, 0.4093)
Tl (0.0000, 0.4450, 0.2500)
Tl (0.1801, 0.1016, 0.7456)
W (0.1067, 0.4320, 0.5712)
W (0.2197, 0.4067, 0.9274)
N (0.0797, 0.2391, 0.0005)
N (0.2500, 0.2500, 0.5000)

Principal peaks in the range 5° ≤ 2θ ≤ 70°, low angle first:
hkl 1 1 0, 18.17°, I 9; hkl 3 1 -1, 31.52°, I 36; hkl 3 1 2, 37.01°, I 53; hkl 0 2 3, 37.27°, I 100; hkl 0 0 6, 39.02°, I 27; hkl 6 0 -2, 56.04°, I 11; hkl 3 3 -1, 56.17°, I 21; hkl 6 2 1, 69.01°, I 9; hkl 3 1 8, 69.17°, I 8; hkl 0 4 3, 69.39°, I 14

---

This entry pairs a crystal structure of Y2Fe3B4Ir2 with its simulated powder diffraction line list. Radiation: Cu Kα (λ = 1.5418 Å). Structure: a crystal structure in OQMD, relaxed with PBE.
Intensities are scaled so that the largest is 100.

Structure:
Cell lengths 5.3574, 9.1893, 11.1248 Å; angles 90.00, 90.00, 90.00 degrees
Space group Fmmm (No. 69)
Asymmetric unit:
Y (0.0000, 0.0000, 0.1460)
Fe (0.0000, 0.0000, 0.5000)
Fe (0.2500, 0.2500, 0.2500)
B (0.0000, 0.1556, 0.3605)
Ir (0.2500, 0.2500, 0.0000)

Principal peaks in the range 5° ≤ 2θ ≤ 70°, low angle first:
hkl 0 0 2, 15.93°, I 58; hkl 0 2 0, 19.32°, I 40; hkl 0 2 2, 25.14°, I 35; hkl 1 1 3, 30.90°, I 32; hkl 0 2 4, 37.81°, I 70; hkl 2 2 0, 38.92°, I 100; hkl 0 4 0, 39.21°, I 48; hkl 2 0 4, 47.10°, I 42; hkl 2 2 4, 51.36°, I 28; hkl 2 4 4, 62.91°, I 34

---

This entry pairs a crystal structure of Zr4TlB3 with its simulated powder diffraction line list. Radiation: Cu Kα (λ = 1.5418 Å). Structure: a crystal structure in OQMD, relaxed with PBE.
Intensities are scaled so that the largest is 100.

Structure:
Cell lengths 3.4631, 3.4631, 26.8913 Å; angles 90.00, 90.00, 120.00 degrees
Space group P6_3/mmc (No. 194)
Asymmetric unit:
Zr (0.0000, 0.0000, 0.1540)
Zr (0.3333, 0.6667, 0.0541)
Tl (0.3333, 0.6667, 0.2500)
B (0.0000, 0.0000, 0.0000)
B (0.3333, 0.6667, 0.6080)

Principal peaks in the range 5° ≤ 2θ ≤ 70°, low angle first:
hkl 0 0 2, 6.57°, I 60; hkl 1 0 1, 29.98°, I 59; hkl 1 0 4, 32.70°, I 59; hkl 0 0 10, 33.32°, I 46; hkl 1 0 5, 34.23°, I 100; hkl 1 0 6, 36.03°, I 79; hkl 1 0 11, 48.01°, I 26; hkl 1 1 0, 52.88°, I 44; hkl 1 0 15, 60.13°, I 18; hkl 1 1 10, 63.95°, I 42

---

This entry pairs a crystal structure of Fe9Co7 with its simulated powder diffraction line list. Radiation: Cu Kα (λ = 1.5418 Å). Structure: a crystal structure in OQMD, relaxed with PBE.
Intensities are scaled so that the largest is 100.

Structure:
Cell lengths 5.6705, 5.6705, 5.6705 Å; angles 90.00, 90.00, 90.00 degrees
Space group Pm-3m (No. 221)
Asymmetric unit:
Fe (0.0000, 0.0000, 0.0000)
Fe (0.2500, 0.2500, 0.2500)
Co (0.0000, 0.0000, 0.5000)
Co (0.0000, 0.5000, 0.5000)
Co (0.5000, 0.5000, 0.5000)

Principal peaks in the range 5° ≤ 2θ ≤ 70°, low angle first:
hkl 2 2 0, 45.23°, I 100; hkl 4 0 0, 65.89°, I 15

---

This entry pairs a crystal structure of Cs2Rb2CdAs2 with its simulated powder diffraction line list. Radiation: Cu Kα (λ = 1.5418 Å). Structure: a crystal structure in OQMD, relaxed with PBE.
Intensities are scaled so that the largest is 100.

Structure:
Cell lengths 6.1943, 6.1943, 29.6867 Å; angles 90.00, 90.00, 120.00 degrees
Space group R-3m (No. 166, hexagonal axes)
Asymmetric unit:
Cs (0.0000, 0.0000, 0.2083)
Rb (0.0000, 0.0000, 0.3851)
Cd (0.0000, 0.0000, 0.0000)
As (0.0000, 0.0000, 0.0848)

Principal peaks in the range 5° ≤ 2θ ≤ 70°, low angle first:
hkl 1 0 1, 16.79°, I 26; hkl 0 1 5, 22.34°, I 56; hkl 1 0 7, 26.80°, I 25; hkl 1 1 0, 28.83°, I 100; hkl 1 0 10, 34.53°, I 35; hkl 2 0 5, 36.77°, I 15; hkl 0 2 10, 45.58°, I 16; hkl 1 2 5, 47.38°, I 15; hkl 3 0 0, 51.08°, I 20; hkl 2 1 10, 54.83°, I 18

---

This entry pairs a crystal structure of Cu3B3Pt4 with its simulated powder diffraction line list. Radiation: Cu Kα (λ = 1.5418 Å). Structure: a crystal structure in OQMD, relaxed with PBE.
Intensities are scaled so that the largest is 100.

Structure:
Cell lengths 7.8324, 7.8324, 7.8324 Å; angles 90.00, 90.00, 90.00 degrees
Space group I-43d (No. 220)
Asymmetric unit:
Cu (0.0000, 0.2500, 0.3750)
B (0.0000, 0.2500, 0.8750)
Pt (0.0751, 0.0751, 0.0751)

Principal peaks in the range 5° ≤ 2θ ≤ 70°, low angle first:
hkl 2 1 1, 27.90°, I 38; hkl 2 2 0, 32.33°, I 11; hkl 3 1 0, 36.27°, I 100; hkl 3 2 1, 43.22°, I 85; hkl 4 0 0, 46.37°, I 2; hkl 4 2 0, 52.23°, I 4; hkl 3 3 2, 54.99°, I 4; hkl 4 2 2, 57.66°, I 30; hkl 4 3 1, 60.25°, I 37; hkl 5 2 1, 65.25°, I 1

---

This entry pairs a crystal structure of GdScHg6 with its simulated powder diffraction line list. Radiation: Cu Kα (λ = 1.5418 Å). Structure: a crystal structure in OQMD, relaxed with PBE.
Intensities are scaled so that the largest is 100.

Structure:
Cell lengths 6.5483, 6.5483, 4.9607 Å; angles 90.00, 90.00, 120.00 degrees
Space group P-6m2 (No. 187)
Asymmetric unit:
Gd (0.0000, 0.0000, 0.0000)
Sc (0.3333, 0.6667, 0.5000)
Hg (0.0091, 0.5046, 0.0000)
Hg (0.3374, 0.1687, 0.5000)

Principal peaks in the range 5° ≤ 2θ ≤ 70°, low angle first:
hkl 1 0 0, 15.63°, I 3; hkl 1 0 1, 23.83°, I 8; hkl 2 0 0, 31.55°, I 25; hkl 0 0 2, 36.22°, I 23; hkl 2 0 1, 36.50°, I 100; hkl 2 0 2, 48.78°, I 15; hkl 2 2 0, 56.19°, I 19; hkl 2 0 3, 65.33°, I 19; hkl 2 2 2, 68.70°, I 21; hkl 4 0 1, 68.88°, I 16

---

This entry pairs a crystal structure of Li8Cd2Pb with its simulated powder diffraction line list. Radiation: Cu Kα (λ = 1.5418 Å). Structure: a crystal structure in OQMD, relaxed with PBE.
Intensities are scaled so that the largest is 100.

Structure:
Cell lengths 7.9404, 4.5879, 10.7691 Å; angles 90.00, 104.15, 90.00 degrees
Space group C2/m (No. 12)
Asymmetric unit:
Li (0.0895, 0.0000, 0.2691)
Li (0.1362, 0.5000, 0.9083)
Li (0.1811, 0.0000, 0.5432)
Li (0.2244, 0.5000, 0.1727)
Cd (0.0471, 0.5000, 0.6405)
Pb (0.0000, 0.0000, 0.0000)

Principal peaks in the range 5° ≤ 2θ ≤ 70°, low angle first:
hkl 1 1 -1, 23.10°, I 100; hkl 2 0 -2, 25.14°, I 44; hkl 0 0 3, 25.59°, I 27; hkl 2 0 1, 26.57°, I 15; hkl 1 1 2, 30.08°, I 33; hkl 2 0 3, 38.91°, I 40; hkl 0 2 0, 39.29°, I 39; hkl 2 0 -5, 43.95°, I 18; hkl 4 0 -2, 46.07°, I 16; hkl 3 1 2, 47.48°, I 31

---

This entry pairs a crystal structure of Li4AlSnHg2 with its simulated powder diffraction line list. Radiation: Cu Kα (λ = 1.5418 Å). Structure: a crystal structure in OQMD, relaxed with PBE.
Intensities are scaled so that the largest is 100.

Structure:
Cell lengths 4.6302, 4.6302, 6.5990 Å; angles 90.00, 90.00, 90.00 degrees
Space group P-4m2 (No. 115)
Asymmetric unit:
Li (0.0000, 0.0000, 0.0000)
Li (0.0000, 0.5000, 0.7431)
Li (0.5000, 0.5000, 0.5000)
Al (0.0000, 0.0000, 0.5000)
Sn (0.5000, 0.5000, 0.0000)
Hg (0.0000, 0.5000, 0.2766)

Principal peaks in the range 5° ≤ 2θ ≤ 70°, low angle first:
hkl 1 0 1, 23.47°, I 100; hkl 1 1 0, 27.24°, I 13; hkl 1 1 1, 30.48°, I 8; hkl 1 1 2, 38.75°, I 50; hkl 2 0 0, 38.90°, I 27; hkl 1 0 3, 45.66°, I 14; hkl 2 1 1, 45.93°, I 35; hkl 2 2 0, 56.19°, I 9; hkl 2 1 3, 61.50°, I 12; hkl 3 0 1, 61.72°, I 7

---

This entry pairs a crystal structure of PuNpSi with its simulated powder diffraction line list. Radiation: Cu Kα (λ = 1.5418 Å). Structure: a crystal structure in OQMD, relaxed with PBE.
Intensities are scaled so that the largest is 100.

Structure:
Cell lengths 6.4544, 6.4544, 6.4544 Å; angles 90.00, 90.00, 90.00 degrees
Space group F-43m (No. 216)
Asymmetric unit:
Pu (0.0000, 0.0000, 0.0000)
Np (0.0000, 0.0000, 0.5000)
Si (0.2500, 0.2500, 0.7500)

Principal peaks in the range 5° ≤ 2θ ≤ 70°, low angle first:
hkl 1 1 1, 23.88°, I 1; hkl 2 0 0, 27.64°, I 98; hkl 2 2 0, 39.49°, I 100; hkl 2 2 2, 48.88°, I 29; hkl 4 0 0, 57.08°, I 18; hkl 4 2 0, 64.57°, I 39

---

This entry pairs a crystal structure of KP3PdO9 with its simulated powder diffraction line list. Radiation: Cu Kα (λ = 1.5418 Å). Structure: a crystal structure in OQMD, relaxed with PBE.
Intensities are scaled so that the largest is 100.

Structure:
Cell lengths 10.1189, 10.1189, 6.8259 Å; angles 90.00, 90.00, 120.00 degrees
Space group R3 (No. 146, hexagonal axes)
Asymmetric unit:
K (0.0000, 0.0000, 0.0000)
P (0.1129, 0.7682, 0.3659)
Pd (0.0000, 0.0000, 0.4946)
O (0.0569, 0.7206, 0.5882)
O (0.0818, 0.8891, 0.2922)
O (0.1920, 0.0592, 0.6953)

Principal peaks in the range 5° ≤ 2θ ≤ 70°, low angle first:
hkl 1 0 1, 16.46°, I 95; hkl 1 1 0, 17.53°, I 100; hkl 2 1 1, 29.99°, I 39; hkl 3 0 0, 30.61°, I 28; hkl 2 0 2, 33.28°, I 54; hkl 2 2 0, 35.49°, I 25; hkl 3 -2 2, 37.85°, I 33; hkl 4 -3 1, 39.35°, I 16; hkl 3 1 2, 45.83°, I 32; hkl 5 2 0, 66.65°, I 16